(1)
NaSr3Ni: theoretical powder X-ray diffraction pattern (Cu Kα X-rays), based on a structure optimized by DFT (PBE).
Neutral-atom scattering factors, no anomalous dispersion.

Structural model:
a = 4.2612 Å, b = 5.8720 Å, c = 8.3511 Å
α = 90.00°, β = 90.82°, γ = 90.00°
Space group P2/m (No. 10)
One atom of each set of equivalent atoms:
1 Na 0.0000 0.0000 0.0000
2 Sr 0.0000 0.0000 0.5000
3 Sr 0.4928 0.5000 0.2558
4 Ni 0.0000 0.5000 0.5000

Principal peaks in the range 2θ = 15–90°, in order of rising 2θ:
(hkl)  d/Å  Rel. int.
0 1 0  5.872  60
1 1 0  3.449  100
0 1 2  3.403  96
1 0 -2  3.004  87
1 0 2  2.961  85
0 2 0  2.936  83
2 0 0  2.130  33
1 2 -2  2.100  62
1 2 2  2.086  92
2 2 0  1.724  33

***

(2)
NaTiNiTe3: theoretical powder X-ray diffraction pattern (Cu Kα X-rays), based on a structure optimized by DFT (PBE).
Neutral-atom scattering factors, no anomalous dispersion.

Structural model:
a = 8.4670 Å, b = 3.8237 Å, c = 10.2634 Å
α = 90.00°, β = 112.89°, γ = 90.00°
Space group P2_1/m (No. 11)
One atom of each set of equivalent atoms:
1 Na 0.2304 0.2500 0.2154
2 Ti 0.2088 0.7500 0.6810
3 Ni 0.4138 0.2500 0.8979
4 Te 0.0578 0.7500 0.3730
5 Te 0.2590 0.7500 0.9602
6 Te 0.4268 0.2500 0.6551

Principal peaks in the range 2θ = 15–90°, in order of rising 2θ:
(hkl)  d/Å  Rel. int.
2 0 -2  3.827  29
1 1 -1  3.425  47
2 0 1  3.194  78
0 0 3  3.152  59
1 1 -2  3.036  30
0 1 2  2.973  46
2 1 -1  2.837  100
2 1 0  2.730  49
2 1 -4  2.091  69
0 2 0  1.912  47